1.
Structure and calculated powder X-ray diffraction pattern of CsHg2Bi (a structure optimized by DFT (PBE); Cu Kα).
Neutral-atom scattering factors, no anomalous dispersion.

Structure:
Lattice parameters (Å, degrees): 6.015 6.015 21.306 90.00 90.00 90.00
Element x y z (fractional)
Cs (0.000, 0.000, 0.000)
Cs (0.000, 0.500, 0.250)
Cs (0.500, 0.000, 0.750)
Cs (0.500, 0.500, 0.500)
Hg (0.002, 0.250, 0.625)
Hg (0.250, 0.502, 0.875)
Hg (0.250, 0.998, 0.375)
Hg (0.498, 0.250, 0.125)
Hg (0.502, 0.750, 0.125)
Hg (0.750, 0.002, 0.375)
Hg (0.750, 0.498, 0.875)
Hg (0.998, 0.750, 0.625)
Bi (0.000, 0.000, 0.500)
Bi (0.000, 0.500, 0.750)
Bi (0.500, 0.000, 0.250)
Bi (0.500, 0.500, 0.000)

Largest 6 diffraction maxima, by angle, 10° ≤ 2θ ≤ 80°:
| 2θ/deg | I_rel | hkl |
| --- | --- | --- |
| 15.31 | 100 | 1 0 1 |
| 22.51 | 76 | 1 1 2 |
| 30.89 | 49 | 2 0 2 |
| 32.86 | 29 | 1 1 6 |
| 33.63 | 44 | 0 0 8 |
| 45.95 | 56 | 2 2 4 |

---

2.
Structure and calculated powder X-ray diffraction pattern of GaPHIrPtS (a structure optimized by DFT (PBE); Cu Kα).
Neutral-atom scattering factors, no anomalous dispersion.

Structure:
Lattice parameters (Å, degrees): 4.724 3.627 5.758 90.00 99.36 90.00
Element x y z (fractional)
Ga (0.000, 0.000, 0.000)
P (0.466, 0.500, 0.690)
H (0.230, 0.000, 0.322)
Ir (0.169, 0.000, 0.602)
Pt (0.660, 0.500, 0.075)
S (0.823, 0.500, 0.488)

Largest 6 diffraction maxima, by angle, 10° ≤ 2θ ≤ 80°:
| 2θ/deg | I_rel | hkl |
| --- | --- | --- |
| 22.62 | 58 | 1 0 -1 |
| 26.63 | 40 | 1 0 1 |
| 29.21 | 41 | 0 1 1 |
| 31.25 | 100 | 1 1 0 |
| 31.49 | 44 | 0 0 2 |
| 42.54 | 35 | 1 1 -2 |

---

3.
Structure and calculated powder X-ray diffraction pattern of NaTcMo3 (a structure optimized by DFT (PBE); Cu Kα).
Neutral-atom scattering factors, no anomalous dispersion.

Structure:
Lattice parameters (Å, degrees): 4.773 4.773 4.773 90.00 90.00 90.00
Element x y z (fractional)
Na (0.000, 0.000, 0.000)
Tc (0.500, 0.500, 0.500)
Mo (0.000, 0.500, 0.500)
Mo (0.500, 0.000, 0.500)
Mo (0.500, 0.500, 0.000)

Largest 6 diffraction maxima, by angle, 10° ≤ 2θ ≤ 80°:
| 2θ/deg | I_rel | hkl |
| --- | --- | --- |
| 18.59 | 100 | 1 0 0 |
| 32.49 | 51 | 1 1 1 |
| 37.69 | 94 | 2 0 0 |
| 42.34 | 46 | 2 1 0 |
| 54.37 | 62 | 2 2 0 |
| 57.97 | 23 | 3 0 0 |

---

Repeat the third record exactly.
Structure and calculated powder X-ray diffraction pattern of NaTcMo3 (a structure optimized by DFT (PBE); Cu Kα).
Neutral-atom scattering factors, no anomalous dispersion.

Structure:
Lattice parameters (Å, degrees): 4.773 4.773 4.773 90.00 90.00 90.00
Element x y z (fractional)
Na (0.000, 0.000, 0.000)
Tc (0.500, 0.500, 0.500)
Mo (0.000, 0.500, 0.500)
Mo (0.500, 0.000, 0.500)
Mo (0.500, 0.500, 0.000)

Largest 6 diffraction maxima, by angle, 10° ≤ 2θ ≤ 80°:
| 2θ/deg | I_rel | hkl |
| --- | --- | --- |
| 18.59 | 100 | 1 0 0 |
| 32.49 | 51 | 1 1 1 |
| 37.69 | 94 | 2 0 0 |
| 42.34 | 46 | 2 1 0 |
| 54.37 | 62 | 2 2 0 |
| 57.97 | 23 | 3 0 0 |

---

- Which formula does entry 1 have?
  CsHg2Bi